[1]
For RbFeAsSe, DFT lattice parameters and positions (GGA-PBE) gives the calculated XRD peak list in this record (Cu Kα (weighted mean of Kα1 and Kα2)).

a = 3.874 Å, b = 3.875 Å, c = 7.632 Å
α = 104.59°, β = 90.06°, γ = 119.97°
Sites, in units of the cell vectors:
Rb1 0.000 0.000 0.000
Fe1 0.836 0.670 0.509
As1 0.202 0.400 0.605
Se1 0.444 0.887 0.333

Main lines, in order of rising 2θ (10° ≤ 2θ ≤ 90°):
2theta  d/Å  I_rel
12.12  7.300  40
24.39  3.650  21
26.87  3.318  21
31.26  2.861  39
33.64  2.664  100
46.89  1.938  59

---

[2]
For PrSm3Dy2, DFT lattice parameters and positions (GGA-PBE) gives the calculated XRD peak list in this record (Cu Kα (weighted mean of Kα1 and Kα2)).

a = 11.982 Å, b = 11.424 Å, c = 6.256 Å
α = 79.49°, β = 69.62°, γ = 30.89°
Sites, in units of the cell vectors:
Pr1 0.125 0.125 0.125
Pr2 0.875 0.875 0.875
Sm1 0.042 0.042 0.708
Sm2 0.292 0.292 0.958
Sm3 0.375 0.375 0.375
Sm4 0.625 0.625 0.625
Sm5 0.708 0.708 0.042
Sm6 0.958 0.958 0.292
Dy1 0.209 0.209 0.541
Dy2 0.459 0.459 0.791
Dy3 0.541 0.541 0.209
Dy4 0.791 0.791 0.459

Main lines, in order of rising 2θ (10° ≤ 2θ ≤ 90°):
2theta  d/Å  I_rel
30.31  2.949  100
35.13  2.554  51
50.54  1.806  36
60.07  1.540  43
82.27  1.172  18
84.89  1.142  16

---

[3]
For Pr2ZnIr2, DFT lattice parameters and positions (GGA-PBE) gives the calculated XRD peak list in this record (Cu Kα (weighted mean of Kα1 and Kα2)).

a = 5.801 Å, b = 5.801 Å, c = 8.092 Å
α = 103.73°, β = 103.73°, γ = 58.16°
Sites, in units of the cell vectors:
Pr1 0.005 0.704 0.853
Pr2 0.296 0.995 0.647
Pr3 0.704 0.005 0.353
Pr4 0.995 0.296 0.147
Zn1 0.373 0.627 0.250
Zn2 0.627 0.373 0.750
Ir1 0.215 0.511 0.485
Ir2 0.489 0.785 0.015
Ir3 0.511 0.215 0.985
Ir4 0.785 0.489 0.515

Main lines, in order of rising 2θ (10° ≤ 2θ ≤ 90°):
2theta  d/Å  I_rel
33.10  2.706  53
33.81  2.651  52
36.84  2.440  59
36.94  2.433  77
37.07  2.425  100
40.19  2.244  88